Computed powder XRD pattern of Sc12In3Ir for a wavelength of 1.5418 Å, from the GGA-PBE geometry in Alexandria.
Neutral-atom scattering factors, no anomalous dispersion.

Crystal structure
```
Sc12In3Ir
1.0
4.517 0.000 0.000
0.000 4.517 0.000
0.000 0.000 17.454
Sc In Ir
12 3 1
Cartesian
0.000 0.000 0.000 Sc
0.000 0.000 4.187 Sc
0.000 0.000 8.727 Sc
0.000 0.000 13.268 Sc
0.000 2.259 1.856 Sc
0.000 2.259 6.459 Sc
0.000 2.259 10.995 Sc
0.000 2.259 15.598 Sc
2.259 0.000 1.856 Sc
2.259 0.000 6.459 Sc
2.259 0.000 10.995 Sc
2.259 0.000 15.598 Sc
2.259 2.259 4.225 In
2.259 2.259 8.727 In
2.259 2.259 13.229 In
2.259 2.259 0.000 Ir
```

The 10 most intense peaks (5 to 70 degrees two-theta), low angle first:
2θ (°), I (rel.)
5.1, 19.4
19.7, 23.6
20.3, 13.8
28.4, 20.3
34.8, 100.0
39.9, 35.5
41.4, 13.6
57.7, 11.3
58.8, 17.6
69.2, 24.2